LiTb2P3Rh12: simulated powder diffractogram (Cu Kα (λ = 1.5418 Å)), based on a GGA-PBE-relaxed structure.

Cell lengths 6.6449, 6.6449, 6.6449 Å; angles 82.83, 82.83, 82.83 degrees
Fractional coordinates of all 18 atoms:
Li1 0.0000 0.0000 0.0000
Tb1 0.3726 0.3726 0.3726
Tb2 0.6274 0.6274 0.6274
P1 0.0000 0.0000 0.5000
P2 0.0000 0.5000 0.0000
P3 0.5000 0.0000 0.0000
Rh1 0.0922 0.6315 0.6315
Rh2 0.1728 0.1728 0.6744
Rh3 0.1728 0.6744 0.1728
Rh4 0.3256 0.8272 0.8272
Rh5 0.3685 0.3685 0.9078
Rh6 0.3685 0.9078 0.3685
Rh7 0.6315 0.0922 0.6315
Rh8 0.6315 0.6315 0.0922
Rh9 0.6744 0.1728 0.1728
Rh10 0.8272 0.3256 0.8272
Rh11 0.8272 0.8272 0.3256
Rh12 0.9078 0.3685 0.3685

Principal peaks in the range 15 to 90 degrees two-theta, by angle:
d = 2.808 Å, I = 17; d = 2.457 Å, I = 57; d = 2.438 Å, I = 18; d = 2.198 Å, I = 100; d = 2.132 Å, I = 23; d = 1.638 Å, I = 17